# Tb2AlTe5
Simulated XRD peak list, Cu Kα. Input: the GGA-PBE geometry in Alexandria.

Largest 10 diffraction maxima, in order of rising 2θ, 15 to 90 degrees two-theta:
2theta, intensity, (hkl)
15.8, 58, 1 1 0
23.5, 56, 0 2 3
29.3, 80, 2 0 0
31.7, 100, 0 4 3
37.5, 22, 1 1 5
37.9, 32, 2 2 3
39.8, 20, 1 5 3
40.8, 22, 0 0 6
43.7, 77, 2 4 3
51.0, 20, 2 0 6

Structural model:
a b c (Å): 6.0935 14.6383 13.2661
angles (deg): 90.00 90.00 90.00
Space group Cmcm (No. 63)
Asymmetric unit:
Tb (0.0000, 0.1669, 0.0698) [8 per cell]
Al (0.0000, 0.1891, 0.7500) [4 per cell]
Te (0.0000, 0.0374, 0.6145) [8 per cell]
Te (0.0000, 0.2972, 0.2500) [4 per cell]
Te (0.0000, 0.3148, 0.5964) [8 per cell]